1.
This entry pairs a crystal structure of Nd8Sm2Sc3 with its theoretical powder XRD pattern. Radiation: λ = 1.5418 Å (Cu Kα). Structure: a structure optimized by DFT (PBE).

Atomic structure:
a b c (Å): 8.8378 8.8378 6.0114
angles (deg): 107.16 107.16 81.29
Fractional coordinates of all 13 atoms:
1 Nd 0.0840 0.0840 0.2646
2 Nd 0.1116 0.5809 0.8531
3 Nd 0.3641 0.3641 0.3856
4 Nd 0.4191 0.8884 0.1469
5 Nd 0.5809 0.1116 0.8531
6 Nd 0.6359 0.6359 0.6144
7 Nd 0.8884 0.4191 0.1469
8 Nd 0.9160 0.9160 0.7354
9 Sm 0.1843 0.1843 0.8308
10 Sm 0.8157 0.8157 0.1692
11 Sc 0.2349 0.7651 0.5000
12 Sc 0.5000 0.5000 0.0000
13 Sc 0.7651 0.2349 0.5000

Largest 10 diffraction maxima, most intense first, 2θ from 15° to 90°:
d (Å)  2θ (°)  intensity
2.863  31.2  100
2.878  31.1  41
2.995  29.8  31
2.740  32.7  20
2.273  39.6  16
2.343  38.4  13
1.659  55.4  13
3.089  28.9  12
3.885  22.9  11
2.660  33.7  10

=====

2.
This entry pairs a crystal structure of NdSm4Sc5 with its theoretical powder XRD pattern. Radiation: λ = 1.5418 Å (Cu Kα). Structure: a structure optimized by DFT (PBE).

Atomic structure:
a b c (Å): 7.7339 7.7339 7.7339
angles (deg): 98.13 98.13 135.83
Fractional coordinates of all 10 atoms:
1 Nd 0.0000 0.0000 0.0000
2 Sm 0.0446 0.7207 0.3239
3 Sm 0.3968 0.7207 0.6761
4 Sm 0.7207 0.0446 0.3239
5 Sm 0.7207 0.3968 0.6761
6 Sc 0.0898 0.0898 0.6200
7 Sc 0.0898 0.4698 0.0000
8 Sc 0.4698 0.0898 0.0000
9 Sc 0.4698 0.4698 0.3800
10 Sc 0.5220 0.5220 0.0000

Largest 10 diffraction maxima, most intense first, 2θ from 15° to 90°:
d (Å)  2θ (°)  intensity
2.921  30.6  100
3.575  24.9  55
2.389  37.7  43
2.695  33.2  26
1.462  63.7  25
5.057  17.5  19
3.205  27.8  19
2.258  39.9  18
1.681  54.6  17
1.788  51.1  17